1.
Starting from a cell relaxed with GGA-PBE, the powder X-ray diffraction pattern of TbEr9Tm2 was computed for Cu Kα, 1.54184 Å.
Kinematic intensities with the Lorentz-polarization factor, no thermal factor.

Cell: 11.0598 11.0598 3.4589 Å, 90.00 90.00 120.00°
Atoms (fractional coordinates):
Tb 0.0000 0.0000 0.0000
Er 0.0000 0.5000 0.0000
Er 0.1775 0.3549 0.5000
Er 0.1775 0.8225 0.5000
Er 0.3549 0.1775 0.5000
Er 0.5000 0.0000 0.0000
Er 0.5000 0.5000 0.0000
Er 0.6451 0.8225 0.5000
Er 0.8225 0.1775 0.5000
Er 0.8225 0.6451 0.5000
Tm 0.3333 0.6667 0.0000
Tm 0.6667 0.3333 0.0000

Most intense lines, 10 to 80 degrees two-theta, low angle first:
30.5°, intensity 26, (1 1 1); 31.9°, intensity 53, (2 0 1); 32.4°, intensity 100, (2 2 0); 35.9°, intensity 20, (2 1 1); 46.1°, intensity 18, (4 0 1); 57.5°, intensity 18, (4 2 1); 57.8°, intensity 17, (6 0 0); 63.4°, intensity 29, (2 2 2)

2.
Starting from a cell relaxed with GGA-PBE, the powder X-ray diffraction pattern of Th4Co3Sb8 was computed for Cu Kα, 1.54184 Å.
Kinematic intensities with the Lorentz-polarization factor, no thermal factor.

Cell: 4.4258 4.4258 19.0319 Å, 90.00 90.00 90.00°
Atoms (fractional coordinates):
Th 0.0000 0.5000 0.1121
Th 0.0000 0.5000 0.6163
Th 0.5000 0.0000 0.3837
Th 0.5000 0.0000 0.8879
Co 0.0000 0.0000 0.0000
Co 0.0000 0.0000 0.5000
Co 0.5000 0.5000 0.5000
Sb 0.0000 0.0000 0.2472
Sb 0.0000 0.0000 0.7528
Sb 0.0000 0.5000 0.4282
Sb 0.0000 0.5000 0.9352
Sb 0.5000 0.0000 0.0648
Sb 0.5000 0.0000 0.5718
Sb 0.5000 0.5000 0.2471
Sb 0.5000 0.5000 0.7529

Most intense lines, 10 to 80 degrees two-theta, low angle first:
22.2°, intensity 31, (1 0 2); 28.1°, intensity 18, (0 0 6); 30.1°, intensity 30, (1 1 2); 34.3°, intensity 100, (1 1 4); 34.8°, intensity 44, (1 0 6); 40.8°, intensity 51, (2 0 0); 54.7°, intensity 24, (2 1 6); 70.1°, intensity 25, (3 1 4)

3.
Starting from a cell relaxed with GGA-PBE, the powder X-ray diffraction pattern of HoErGaRh was computed for Cu Kα, 1.54184 Å.
Kinematic intensities with the Lorentz-polarization factor, no thermal factor.

Cell: 4.3229 3.8477 10.6209 Å, 90.00 90.00 90.00°
Atoms (fractional coordinates):
Ho 0.0000 0.0000 0.0000
Ho 0.0000 0.5000 0.5000
Er 0.5000 0.0000 0.2825
Er 0.5000 0.5000 0.7825
Ga 0.0000 0.0000 0.7138
Ga 0.0000 0.5000 0.2138
Rh 0.5000 0.0000 0.5670
Rh 0.5000 0.5000 0.0670

Most intense lines, 10 to 80 degrees two-theta, low angle first:
26.6°, intensity 23, (1 0 2); 32.3°, intensity 100, (1 1 1); 33.8°, intensity 24, (0 0 4); 34.4°, intensity 40, (0 1 3); 39.8°, intensity 23, (1 0 4); 40.4°, intensity 51, (1 1 3); 41.8°, intensity 28, (2 0 0); 55.2°, intensity 21, (2 1 3)